Theoretical XRD peak list of CePmSb for Cu Kα, from a GGA-PBE-relaxed structure.

Peak list (10 most intense, 2θ = 10–90°, by angle)
2θ/deg  intensity
30.25  100
30.36  44
32.40  32
35.10  90
40.70  59
51.61  40
52.95  16
58.92  20
67.69  37
70.46  23

Crystal structure
Unit cell a=9.373 b=9.373 c=9.373 alpha=152.64 beta=152.64 gamma=39.08
Fractional coordinates of all 6 atoms:
Ce: 0.000 0.500 0.500
Ce: 0.500 0.000 0.500
Pm: 0.178 0.178 0.000
Pm: 0.822 0.822 0.000
Sb: 0.361 0.361 0.000
Sb: 0.639 0.639 0.000